Entry 1:
Simulated X-ray powder pattern
Compound: MnNb4Re
Radiation: Cu Kα, 1.54184 Å
Structure: a cell relaxed with PBE

Structure:
Lattice parameters (Å, degrees): 4.476 4.160 6.171 90.00 96.73 90.00
Fractional coordinates of all 6 atoms:
Mn 0.000 0.000 0.000
Nb 0.019 0.500 0.760
Nb 0.484 0.000 0.238
Nb 0.516 0.000 0.762
Nb 0.981 0.500 0.240
Re 0.500 0.500 0.500

Most intense lines, 2θ = 10–90°, in order of rising 2θ:
2θ/deg, d (Å), intensity
23.30, 3.817, 25
25.88, 3.442, 42
40.09, 2.249, 87
40.59, 2.222, 41
43.57, 2.077, 100
61.01, 1.519, 24


Entry 2:
Simulated X-ray powder pattern
Compound: MnNb4Se8
Radiation: Cu Kα, 1.54184 Å
Structure: a cell relaxed with PBE

Structure:
Lattice parameters (Å, degrees): 7.472 7.472 7.472 60.00 60.00 60.00
Fractional coordinates of all 13 atoms:
Mn 0.000 0.000 0.000
Nb 0.188 0.604 0.604
Nb 0.604 0.188 0.604
Nb 0.604 0.604 0.188
Nb 0.604 0.604 0.604
Se 0.366 0.366 0.366
Se 0.366 0.366 0.903
Se 0.366 0.903 0.366
Se 0.408 0.864 0.864
Se 0.864 0.408 0.864
Se 0.864 0.864 0.408
Se 0.864 0.864 0.864
Se 0.903 0.366 0.366

Most intense lines, 2θ = 10–90°, in order of rising 2θ:
2θ/deg, d (Å), intensity
14.52, 6.100, 37
28.01, 3.186, 33
33.94, 2.642, 100
41.88, 2.157, 32
44.56, 2.033, 28
48.75, 1.868, 78